1.
Starting from a DFT-relaxed cell (GGA-PBE, Alexandria), the PXRD pattern of Pr5GaBi4 was calculated for Cu Kα (weighted mean of Kα1 and Kα2).

Main lines, low angle first (2θ = 10–90°):
d = 3.246 Å, 27.5°, intensity 100; d = 2.295 Å, 39.2°, intensity 79; d = 1.874 Å, 48.6°, intensity 29; d = 1.623 Å, 56.7°, intensity 13; d = 1.452 Å, 64.2°, intensity 37; d = 1.325 Å, 71.1°, intensity 27

Cell and atoms:
Lattice parameters (Å, degrees): 7.951 7.951 7.951 99.59 99.59 131.81
Sites, in units of the cell vectors:
Pr (0.000, 0.000, 0.000)
Pr (0.204, 0.601, 0.805)
Pr (0.399, 0.204, 0.603)
Pr (0.601, 0.796, 0.397)
Pr (0.796, 0.399, 0.195)
Ga (0.500, 0.500, 0.000)
Bi (0.096, 0.301, 0.398)
Bi (0.301, 0.904, 0.205)
Bi (0.699, 0.096, 0.795)
Bi (0.904, 0.699, 0.602)

2.
Starting from a DFT-relaxed cell (GGA-PBE, Alexandria), the PXRD pattern of GaBi3Pt4 was calculated for Cu Kα (weighted mean of Kα1 and Kα2).

Main lines, low angle first (2θ = 10–90°):
d = 2.997 Å, 29.8°, intensity 100; d = 2.858 Å, 31.3°, intensity 37; d = 2.542 Å, 35.3°, intensity 43; d = 2.445 Å, 36.8°, intensity 71; d = 2.426 Å, 37.1°, intensity 83; d = 1.964 Å, 46.2°, intensity 59

Cell and atoms:
Lattice parameters (Å, degrees): 6.324 6.324 6.324 129.36 101.23 99.85
Sites, in units of the cell vectors:
Ga (0.000, 0.000, 0.000)
Bi (0.149, 0.408, 0.741)
Bi (0.588, 0.088, 0.500)
Bi (0.667, 0.408, 0.259)
Pt (0.253, 0.515, 0.262)
Pt (0.253, 0.991, 0.738)
Pt (0.569, 0.747, 0.822)
Pt (0.926, 0.747, 0.178)

3.
Starting from a DFT-relaxed cell (GGA-PBE, Alexandria), the PXRD pattern of Pu2GaBi was calculated for Cu Kα (weighted mean of Kα1 and Kα2).

Main lines, low angle first (2θ = 10–90°):
d = 2.868 Å, 31.2°, intensity 76; d = 2.466 Å, 36.4°, intensity 100; d = 2.028 Å, 44.7°, intensity 29; d = 1.566 Å, 59.0°, intensity 51; d = 1.365 Å, 68.8°, intensity 15; d = 1.283 Å, 73.9°, intensity 14

Cell and atoms:
Lattice parameters (Å, degrees): 4.056 4.056 6.210 90.00 90.00 90.00
Sites, in units of the cell vectors:
Pu (0.000, 0.000, 0.237)
Pu (0.000, 0.000, 0.763)
Ga (0.500, 0.500, 0.000)
Bi (0.500, 0.500, 0.500)

4.
Starting from a DFT-relaxed cell (GGA-PBE, Alexandria), the PXRD pattern of Rb3Ga4Bi4 was calculated for Cu Kα (weighted mean of Kα1 and Kα2).

Main lines, low angle first (2θ = 10–90°):
d = 3.419 Å, 26.1°, intensity 22; d = 3.250 Å, 27.4°, intensity 100; d = 2.778 Å, 32.2°, intensity 33; d = 2.358 Å, 38.2°, intensity 21; d = 2.320 Å, 38.8°, intensity 26; d = 1.680 Å, 54.6°, intensity 24

Cell and atoms:
Lattice parameters (Å, degrees): 15.616 15.616 15.616 162.63 159.51 26.99
Sites, in units of the cell vectors:
Rb (0.000, 0.000, 0.000)
Rb (0.144, 0.644, 0.500)
Rb (0.856, 0.356, 0.500)
Ga (0.307, 0.807, 0.500)
Ga (0.458, 0.458, 0.000)
Ga (0.542, 0.542, 0.000)
Ga (0.693, 0.193, 0.500)
Bi (0.248, 0.248, 0.000)
Bi (0.409, 0.909, 0.500)
Bi (0.591, 0.091, 0.500)
Bi (0.752, 0.752, 0.000)

5.
Starting from a DFT-relaxed cell (GGA-PBE, Alexandria), the PXRD pattern of RbGaBi was calculated for Cu Kα (weighted mean of Kα1 and Kα2).

Main lines, low angle first (2θ = 10–90°):
d = 3.874 Å, 23.0°, intensity 73; d = 3.405 Å, 26.2°, intensity 50; d = 3.301 Å, 27.0°, intensity 52; d = 3.069 Å, 29.1°, intensity 60; d = 2.881 Å, 31.0°, intensity 100; d = 1.833 Å, 49.8°, intensity 41

Cell and atoms:
Lattice parameters (Å, degrees): 8.709 4.711 10.927 90.00 90.00 90.00
Sites, in units of the cell vectors:
Rb (0.012, 0.250, 0.196)
Rb (0.488, 0.750, 0.696)
Rb (0.512, 0.250, 0.304)
Rb (0.988, 0.750, 0.804)
Ga (0.128, 0.250, 0.569)
Ga (0.372, 0.750, 0.069)
Ga (0.628, 0.250, 0.931)
Ga (0.872, 0.750, 0.431)
Bi (0.209, 0.750, 0.429)
Bi (0.291, 0.250, 0.929)
Bi (0.709, 0.750, 0.071)
Bi (0.791, 0.250, 0.571)

6.
Starting from a DFT-relaxed cell (GGA-PBE, Alexandria), the PXRD pattern of RbGaSnBi2 was calculated for Cu Kα (weighted mean of Kα1 and Kα2).

Main lines, low angle first (2θ = 10–90°):
d = 3.262 Å, 27.3°, intensity 100; d = 2.867 Å, 31.2°, intensity 58; d = 2.746 Å, 32.6°, intensity 26; d = 1.983 Å, 45.8°, intensity 41; d = 1.722 Å, 53.2°, intensity 33; d = 1.631 Å, 56.4°, intensity 22

Cell and atoms:
Lattice parameters (Å, degrees): 5.735 5.735 5.492 90.00 90.00 90.00
Sites, in units of the cell vectors:
Rb (0.000, 0.000, 0.000)
Ga (0.500, 0.500, 0.500)
Sn (0.500, 0.500, 0.000)
Bi (0.000, 0.500, 0.500)
Bi (0.500, 0.000, 0.500)

- What is the formula in the fifth record?
  RbGaBi